Theoretical X-ray powder pattern of CsZrUTe5 for Cu Ka, from a structure optimized by DFT (GGA-PBE).
Peak positions follow from Bragg's law for the DFT cell and can differ from measured ones.

Principal peaks in the range 5 to 70 degrees two-theta, low angle first:
| index | Position (°2θ) | I (rel.) |
| --- | --- | --- |
| 0 1 0 | 10.2 | 100 |
| 1 1 1 | 19.3 | 35 |
| 0 2 2 | 26.6 | 54 |
| 0 1 3 | 27.3 | 22 |
| 1 0 3 | 29.0 | 28 |
| 1 2 2 | 30.2 | 84 |
| 0 2 3 | 32.8 | 44 |
| 2 0 2 | 33.1 | 54 |
| 2 2 1 | 36.3 | 63 |
| 0 4 0 | 41.8 | 34 |
| 3 2 2 | 51.3 | 24 |
| 2 4 2 | 54.3 | 25 |

Cell and atoms:
Cell lengths 6.307, 8.637, 10.583 Å; angles 90.00, 90.00, 90.00 degrees
Space group Pmma (No. 51)
Inequivalent atoms, fractional coordinates:
Cs1 0.250 0.000 0.214 [2 per cell]
Zr1 0.000 0.500 0.000 [2 per cell]
U1 0.250 0.500 0.666 [2 per cell]
Te1 0.000 0.259 0.500 [4 per cell]
Te2 0.250 0.254 0.879 [4 per cell]
Te3 0.250 0.500 0.233 [2 per cell]


Theoretical X-ray powder pattern of CsTeW for Cu Ka, from a structure optimized by DFT (GGA-PBE).
Peak positions follow from Bragg's law for the DFT cell and can differ from measured ones.

Principal peaks in the range 5 to 70 degrees two-theta, low angle first:
| index | Position (°2θ) | I (rel.) |
| --- | --- | --- |
| 1 1 1 | 20.2 | 40 |
| 2 0 0 | 23.3 | 4 |
| 2 2 0 | 33.2 | 100 |
| 3 1 1 | 39.2 | 22 |
| 2 2 2 | 41.0 | 1 |
| 4 0 0 | 47.7 | 18 |
| 3 3 1 | 52.3 | 10 |
| 4 2 0 | 53.7 | 1 |
| 4 2 2 | 59.3 | 38 |
| 5 1 1 | 63.3 | 7 |
| 4 4 0 | 69.7 | 12 |

Cell and atoms:
Cell lengths 7.629, 7.629, 7.629 Å; angles 90.00, 90.00, 90.00 degrees
Space group F-43m (No. 216)
Inequivalent atoms, fractional coordinates:
Cs1 0.000 0.000 0.000 [4 per cell]
Te1 0.000 0.000 0.500 [4 per cell]
W1 0.250 0.250 0.250 [4 per cell]


Theoretical X-ray powder pattern of Cs3ThTl2 for Cu Ka, from a structure optimized by DFT (GGA-PBE).
Peak positions follow from Bragg's law for the DFT cell and can differ from measured ones.

Principal peaks in the range 5 to 70 degrees two-theta, low angle first:
| index | Position (°2θ) | I (rel.) |
| --- | --- | --- |
| 1 1 0 | 26.2 | 29 |
| 0 0 2 | 26.8 | 39 |
| 1 1 1 | 29.5 | 100 |
| 2 0 0 | 30.3 | 14 |
| 2 0 1 | 33.2 | 17 |
| 1 1 2 | 37.8 | 22 |
| 0 2 2 | 40.9 | 12 |
| 3 0 1 | 48.3 | 26 |
| 1 1 3 | 49.0 | 25 |
| 2 2 0 | 53.8 | 17 |
| 2 2 2 | 61.1 | 23 |
| 3 0 3 | 63.2 | 12 |

Cell and atoms:
Cell lengths 6.8123, 6.8123, 6.6597 Å; angles 90.00, 90.00, 120.00 degrees
Space group P-3m1 (No. 164)
Inequivalent atoms, fractional coordinates:
Cs1 0.0000 0.5000 0.0000 [3 per cell]
Th1 0.0000 0.0000 0.5000 [1 per cell]
Tl1 0.3333 0.6667 0.4987 [2 per cell]


Theoretical X-ray powder pattern of CsTm for Cu Ka, from a structure optimized by DFT (GGA-PBE).
Peak positions follow from Bragg's law for the DFT cell and can differ from measured ones.

Principal peaks in the range 5 to 70 degrees two-theta, low angle first:
| index | Position (°2θ) | I (rel.) |
| --- | --- | --- |
| 2 0 0 | 24.0 | 38 |
| 0 1 1 | 27.2 | 22 |
| 1 0 2 | 29.8 | 100 |
| 2 1 1 | 36.6 | 20 |
| 3 0 2 | 46.1 | 30 |
| 0 1 3 | 48.1 | 12 |
| 0 2 0 | 48.2 | 6 |
| 2 1 3 | 54.5 | 16 |
| 2 2 0 | 54.6 | 8 |
| 1 2 2 | 57.7 | 10 |
| 3 2 2 | 68.9 | 6 |
| 5 0 2 | 69.7 | 9 |

Cell and atoms:
Cell lengths 7.406, 3.774, 6.558 Å; angles 90.00, 90.00, 90.00 degrees
Space group Amm2 (No. 38)
Inequivalent atoms, fractional coordinates:
Cs1 0.000 0.000 0.000 [2 per cell]
Tm1 0.500 0.000 0.668 [2 per cell]


Theoretical X-ray powder pattern of CsZn8 for Cu Ka, from a structure optimized by DFT (GGA-PBE).
Peak positions follow from Bragg's law for the DFT cell and can differ from measured ones.

Principal peaks in the range 5 to 70 degrees two-theta, low angle first:
| index | Position (°2θ) | I (rel.) |
| --- | --- | --- |
| 1 0 0 | 11.7 | 37 |
| 0 0 1 | 18.6 | 62 |
| 1 1 0 | 20.3 | 13 |
| 1 0 1 | 22.0 | 26 |
| 2 0 0 | 23.5 | 13 |
| 2 0 1 | 30.1 | 100 |
| 0 0 2 | 37.6 | 26 |
| 2 2 0 | 41.3 | 59 |
| 2 2 1 | 45.7 | 35 |
| 4 0 1 | 52.0 | 21 |
| 2 2 2 | 57.1 | 44 |
| 4 2 1 | 68.5 | 17 |

Cell and atoms:
Cell lengths 8.7343, 8.7343, 4.7805 Å; angles 90.00, 90.00, 120.00 degrees
Space group P6/mmm (No. 191)
Inequivalent atoms, fractional coordinates:
Cs1 0.0000 0.0000 0.0000 [1 per cell]
Zn1 0.1705 0.3410 0.5000 [6 per cell]
Zn2 0.3333 0.6667 0.5000 [2 per cell]


Theoretical X-ray powder pattern of CsZr8 for Cu Ka, from a structure optimized by DFT (GGA-PBE).
Peak positions follow from Bragg's law for the DFT cell and can differ from measured ones.

Principal peaks in the range 5 to 70 degrees two-theta, low angle first:
| index | Position (°2θ) | I (rel.) |
| --- | --- | --- |
| 1 0 0 | 9.7 | 20 |
| 1 1 0 | 16.8 | 15 |
| 2 0 0 | 19.4 | 34 |
| 2 1 0 | 25.8 | 26 |
| 0 0 1 | 30.7 | 23 |
| 2 2 0 | 33.9 | 100 |
| 2 0 1 | 36.6 | 56 |
| 2 2 1 | 46.4 | 39 |
| 4 0 1 | 50.7 | 20 |
| 3 2 1 | 53.8 | 12 |
| 6 0 0 | 60.8 | 16 |
| 4 2 1 | 62.5 | 21 |

Cell and atoms:
Cell lengths 10.5623, 10.5623, 2.9147 Å; angles 90.00, 90.00, 120.00 degrees
Space group P6/mmm (No. 191)
Inequivalent atoms, fractional coordinates:
Cs1 0.0000 0.0000 0.0000 [1 per cell]
Zr1 0.1770 0.3540 0.5000 [6 per cell]
Zr2 0.3333 0.6667 0.5000 [2 per cell]


Theoretical X-ray powder pattern of DyCu5 for Cu Ka, from a structure optimized by DFT (GGA-PBE).
Peak positions follow from Bragg's law for the DFT cell and can differ from measured ones.

Principal peaks in the range 5 to 70 degrees two-theta, low angle first:
| index | Position (°2θ) | I (rel.) |
| --- | --- | --- |
| 0 0 1 | 21.8 | 6 |
| 1 0 1 | 30.1 | 48 |
| 1 1 0 | 36.0 | 31 |
| 2 0 0 | 41.8 | 35 |
| 1 1 1 | 42.5 | 100 |
| 0 0 2 | 44.5 | 28 |
| 2 0 1 | 47.6 | 7 |
| 1 1 2 | 58.5 | 15 |
| 2 1 1 | 61.1 | 13 |
| 2 0 2 | 62.7 | 20 |
| 3 0 0 | 64.7 | 5 |
| 3 0 1 | 69.2 | 22 |

Cell and atoms:
Cell lengths 4.9908, 4.9908, 4.0736 Å; angles 90.00, 90.00, 120.00 degrees
Space group P6/mmm (No. 191)
Inequivalent atoms, fractional coordinates:
Dy1 0.0000 0.0000 0.0000 [1 per cell]
Cu1 0.0000 0.5000 0.5000 [3 per cell]
Cu2 0.3333 0.6667 0.0000 [2 per cell]


Theoretical X-ray powder pattern of DyEr3Cu4 for Cu Ka, from a structure optimized by DFT (GGA-PBE).
Peak positions follow from Bragg's law for the DFT cell and can differ from measured ones.

Principal peaks in the range 5 to 70 degrees two-theta, low angle first:
| index | Position (°2θ) | I (rel.) |
| --- | --- | --- |
| 1 1 0 | 26.1 | 39 |
| 1 1 -1 | 29.0 | 91 |
| 1 0 -2 | 30.4 | 27 |
| 0 1 2 | 32.4 | 100 |
| 2 0 -1 | 36.0 | 86 |
| 1 1 2 | 36.6 | 99 |
| 0 2 0 | 40.5 | 64 |
| 2 1 1 | 41.5 | 80 |
| 1 0 -3 | 42.0 | 44 |
| 2 2 -1 | 55.3 | 50 |
| 0 1 4 | 56.1 | 31 |
| 1 2 -3 | 59.7 | 30 |

Cell and atoms:
Cell lengths 5.334, 4.456, 7.060 Å; angles 90.00, 90.08, 90.00 degrees
Space group Pm (No. 6)
Inequivalent atoms, fractional coordinates:
Dy1 0.000 0.000 0.000 [1 per cell]
Er1 0.231 0.000 0.500 [1 per cell]
Er2 0.500 0.500 0.137 [1 per cell]
Er3 0.731 0.500 0.636 [1 per cell]
Cu1 0.239 0.500 0.785 [1 per cell]
Cu2 0.493 0.000 0.851 [1 per cell]
Cu3 0.738 0.000 0.352 [1 per cell]
Cu4 0.993 0.500 0.286 [1 per cell]